# Mn5Os
Computed X-ray diffraction stick pattern, a wavelength of 1.5418 Å. Input: a structure optimized by DFT (GGA-PBE).
Neutral-atom scattering factors, no anomalous dispersion.

Cell and atoms:
Cell: 3.6933 11.0380 3.5833 Å, 90.00 90.00 90.00°
Space group Cmmm (No. 65)
Asymmetric unit:
Mn  0.0000  0.0000  0.0000 [2 per cell]
Mn  0.0000  0.1665  0.5000 [4 per cell]
Mn  0.0000  0.3315  0.0000 [4 per cell]
Os  0.0000  0.5000  0.5000 [2 per cell]

Most intense lines, 2θ = 5–70°, in order of rising 2θ:
d/Å  2θ/deg  I (rel.)  (hkl)
5.519  16.06  21  0 2 0
3.502  25.43  15  1 1 0
2.108  42.91  100  1 3 1
1.847  49.35  16  2 0 0
1.840  49.55  16  0 6 0
1.792  50.97  15  0 0 2